# Cs3TeS4
Simulated PXRD pattern, Cu Kα. Input: a PBE-relaxed structure.
Neutral-atom scattering factors, no anomalous dispersion.

Structural model:
```
Cs3TeS4
1.0
-3.7155 5.5806 3.9084
3.7155 -5.5806 3.9084
3.7155 5.5806 -3.9084
Cs Te S
3 1 4
Direct
0.0000 0.0000 0.0000
0.1569 0.4038 0.7530
0.6508 0.4038 0.2470
0.5049 0.0049 0.5000
0.1535 0.8272 0.3263
0.5010 0.8272 0.6737
0.6103 0.4367 0.8264
0.6103 0.7839 0.1736
```

Peak list (12 most intense, 10° ≤ 2θ ≤ 90°, in order of rising 2θ)
two_theta	intensity
22.8	19.8
22.9	100.0
24.0	34.0
27.9	25.3
32.1	16.8
33.3	19.4
37.1	13.2
40.1	15.4
41.5	26.7
46.9	13.8
49.4	17.4
52.0	14.6



# Ca2ZnGaPd6
Simulated PXRD pattern, Cu Kα. Input: a PBE-relaxed structure.
Neutral-atom scattering factors, no anomalous dispersion.

Structural model:
```
Ca2ZnGaPd6
1.0
0.0000 4.7083 4.7083
4.7083 0.0000 4.7083
4.7083 4.7083 0.0000
Ca Zn Ga Pd
2 1 1 6
Direct
0.2500 0.2500 0.2500
0.7500 0.7500 0.7500
0.0000 0.0000 0.0000
0.5000 0.5000 0.5000
0.2512 0.2512 0.7488
0.2512 0.7488 0.2512
0.2512 0.7488 0.7488
0.7488 0.2512 0.2512
0.7488 0.2512 0.7488
0.7488 0.7488 0.2512
```

Peak list (11 most intense, 10° ≤ 2θ ≤ 90°, in order of rising 2θ)
two_theta	intensity
18.8	59.6
33.0	90.5
38.2	100.0
43.0	28.9
55.2	66.9
58.8	14.1
65.8	34.9
69.1	22.1
72.4	6.0
81.8	10.3
84.9	7.9



# La8Pm3Tm2
Simulated PXRD pattern, Cu Kα. Input: a PBE-relaxed structure.
Neutral-atom scattering factors, no anomalous dispersion.

Structural model:
```
La8Pm3Tm2
1.0
6.3491 0.0000 0.0000
1.0561 8.1764 0.0000
1.0752 4.0013 8.8125
La Pm Tm
8 3 2
Direct
0.0399 0.4221 0.3449
0.1173 0.2715 0.0401
0.2725 0.9599 0.4246
0.3476 0.8052 0.1142
0.6524 0.1948 0.8858
0.7275 0.0401 0.5754
0.8827 0.7285 0.9599
0.9601 0.5779 0.6551
0.1915 0.1119 0.7316
0.5000 0.5000 0.5000
0.8085 0.8881 0.2684
0.4237 0.6530 0.8097
0.5763 0.3470 0.1903
```

Peak list (12 most intense, 10° ≤ 2θ ≤ 90°, in order of rising 2θ)
two_theta	intensity
29.7	49.7
29.7	98.7
29.8	48.9
34.5	100.0
49.5	24.1
49.5	23.9
49.7	23.7
58.8	28.6
58.9	35.5
59.0	14.2
61.8	12.3
82.9	13.4



# NdGd2Ho
Simulated PXRD pattern, Cu Kα. Input: a PBE-relaxed structure.
Neutral-atom scattering factors, no anomalous dispersion.

Structural model:
```
NdGd2Ho
1.0
3.5950 0.0000 0.0000
0.0000 3.5950 0.0000
0.0000 0.0000 10.1444
Nd Gd Ho
1 2 1
Direct
0.0000 0.0000 0.0000
0.5000 0.5000 0.2550
0.5000 0.5000 0.7450
0.0000 0.0000 0.5000
```

Peak list (12 most intense, 10° ≤ 2θ ≤ 90°, in order of rising 2θ)
two_theta	intensity
30.5	100.0
35.3	50.6
50.8	36.0
60.4	28.7
60.5	14.1
63.4	12.3
74.7	3.9
74.9	1.9
82.8	5.9
82.9	11.6
85.4	11.0
85.6	5.3



# NbV6Re
Simulated PXRD pattern, Cu Kα. Input: a PBE-relaxed structure.
Neutral-atom scattering factors, no anomalous dispersion.

Structural model:
```
NbV6Re
1.0
5.0554 0.0000 0.0000
-2.3845 4.5204 0.0000
-0.9169 -1.4478 4.9859
Nb V Re
1 6 1
Direct
0.0000 0.0000 0.0000
0.4933 0.5037 0.9978
0.4951 0.0023 0.7404
0.5026 0.9993 0.2528
0.5039 0.5002 0.4957
0.9975 0.0062 0.4974
0.9986 0.5049 0.2515
0.9993 0.4984 0.7426
```

Peak list (12 most intense, 10° ≤ 2θ ≤ 90°, in order of rising 2θ)
two_theta	intensity
17.8	22.5
20.7	28.1
23.1	27.8
41.5	100.0
41.6	49.8
42.0	48.5
42.2	95.6
60.6	30.9
60.8	16.2
75.4	23.4
76.7	15.4
76.8	22.9



# Dy5Pt2Pb2
Simulated PXRD pattern, Cu Kα. Input: a PBE-relaxed structure.
Neutral-atom scattering factors, no anomalous dispersion.

Structural model:
```
Dy5Pt2Pb2
1.0
7.7612 -4.2535 0.0000
7.7612 4.2535 0.0000
0.0000 0.0000 7.3551
Dy Pt Pb
10 4 4
Direct
0.0000 0.0000 0.0000
0.0594 0.7016 0.6519
0.2016 0.5594 0.1519
0.2984 0.9406 0.6519
0.4406 0.7984 0.1519
0.5000 0.5000 0.5000
0.5594 0.2016 0.8481
0.7016 0.0594 0.3481
0.7984 0.4406 0.8481
0.9406 0.2984 0.3481
0.1263 0.8737 0.3619
0.3737 0.6263 0.8619
0.6263 0.3737 0.1381
0.8737 0.1263 0.6381
0.2139 0.2139 0.0000
0.2861 0.2861 0.5000
0.7139 0.7139 0.5000
0.7861 0.7861 0.0000
```

Peak list (12 most intense, 10° ≤ 2θ ≤ 90°, in order of rising 2θ)
two_theta	intensity
11.4	25.0
26.8	30.4
31.2	61.0
31.6	68.2
32.2	43.2
33.0	38.8
33.6	100.0
34.4	70.6
38.7	48.9
39.4	51.6
64.5	28.2
67.3	38.7



# Pm5AgSn
Simulated PXRD pattern, Cu Kα. Input: a PBE-relaxed structure.
Neutral-atom scattering factors, no anomalous dispersion.

Structural model:
```
Pm5AgSn
1.0
4.4363 -4.5830 0.0000
4.4363 4.5830 0.0000
-0.1939 0.0000 10.8109
Pm Ag Sn
10 2 2
Direct
0.0380 0.6081 0.1624
0.1384 0.8616 0.7500
0.2366 0.4361 0.4981
0.3919 0.9620 0.3376
0.4361 0.2366 0.9981
0.5639 0.7634 0.0019
0.6081 0.0380 0.6624
0.7634 0.5639 0.5019
0.8616 0.1384 0.2500
0.9620 0.3919 0.8376
0.0000 0.0000 0.0000
0.0000 0.0000 0.5000
0.4904 0.5096 0.7500
0.5096 0.4904 0.2500
```

Peak list (12 most intense, 10° ≤ 2θ ≤ 90°, in order of rising 2θ)
two_theta	intensity
25.8	38.6
28.0	39.4
28.6	100.0
29.3	79.1
32.0	80.0
32.8	59.4
33.1	29.7
35.1	69.7
35.7	33.5
36.2	30.5
38.7	56.0
46.1	35.6



# Ac3Cd2Ag2
Simulated PXRD pattern, Cu Kα. Input: a PBE-relaxed structure.
Neutral-atom scattering factors, no anomalous dispersion.

Structural model:
```
Ac3Cd2Ag2
1.0
5.6310 -2.4505 0.0000
5.6310 2.4505 0.0000
-0.7373 0.0000 7.9572
Ac Cd Ag
3 2 2
Direct
0.0000 0.0000 0.0000
0.3693 0.3693 0.6430
0.6307 0.6307 0.3570
0.3131 0.3131 0.1630
0.6869 0.6869 0.8370
0.0868 0.0868 0.6356
0.9132 0.9132 0.3644
```

Peak list (12 most intense, 10° ≤ 2θ ≤ 90°, in order of rising 2θ)
two_theta	intensity
23.1	32.1
28.7	27.5
29.4	100.0
30.1	64.7
32.9	45.2
33.8	13.6
36.4	14.5
36.7	41.1
37.5	19.1
47.2	14.5
53.5	15.7
60.9	17.4



# Na2PbCl5
Simulated PXRD pattern, Cu Kα. Input: a PBE-relaxed structure.
Neutral-atom scattering factors, no anomalous dispersion.

Structural model:
```
Na2PbCl5
1.0
2.7521 -6.9358 0.0000
2.7521 6.9358 0.0000
0.0000 0.0000 13.3790
Na Pb Cl
4 2 10
Direct
0.1562 0.8438 0.5661
0.1562 0.8438 0.9339
0.8438 0.1562 0.0661
0.8438 0.1562 0.4339
0.1801 0.8199 0.2500
0.8199 0.1801 0.7500
0.0462 0.9538 0.1083
0.0462 0.9538 0.3917
0.2813 0.7187 0.7500
0.3089 0.6911 0.0904
0.3089 0.6911 0.4096
0.6911 0.3089 0.5904
0.6911 0.3089 0.9096
0.7187 0.2813 0.2500
0.9538 0.0462 0.6083
0.9538 0.0462 0.8917
```

Peak list (12 most intense, 10° ≤ 2θ ≤ 90°, in order of rising 2θ)
two_theta	intensity
12.8	55.4
13.2	39.5
14.4	60.8
17.3	42.2
18.4	31.1
18.6	100.0
23.7	44.8
28.5	35.9
32.5	36.6
32.7	58.1
37.0	40.4
46.8	40.6



# ThH2Ru
Simulated PXRD pattern, Cu Kα. Input: a PBE-relaxed structure.
Neutral-atom scattering factors, no anomalous dispersion.

Structural model:
```
ThH2Ru
1.0
2.0811 1.2015 3.6434
-2.0811 1.2015 3.6434
0.0000 -2.4031 3.6434
Th H Ru
1 2 1
Direct
0.0000 0.0000 0.0000
0.3428 0.3428 0.3428
0.6572 0.6572 0.6572
0.5000 0.5000 0.5000
```

Peak list (12 most intense, 10° ≤ 2θ ≤ 90°, in order of rising 2θ)
two_theta	intensity
24.4	7.4
26.0	17.5
29.7	100.0
41.5	40.7
43.5	36.5
50.1	8.1
53.5	19.6
61.6	12.8
68.4	19.1
71.3	16.8
74.2	7.5
78.4	12.9



# Nd5HoEr
Simulated PXRD pattern, Cu Kα. Input: a PBE-relaxed structure.
Neutral-atom scattering factors, no anomalous dispersion.

Structural model:
```
Nd5HoEr
1.0
3.0953 -8.8038 0.0000
3.0953 8.8038 0.0000
-1.7792 0.0000 8.9154
Nd Ho Er
10 2 2
Direct
0.0164 0.3869 0.6460
0.1403 0.8597 0.7500
0.2369 0.5399 0.0355
0.3869 0.0164 0.1460
0.4601 0.7631 0.4645
0.5399 0.2369 0.5355
0.6131 0.9836 0.8540
0.7631 0.4601 0.9645
0.8597 0.1403 0.2500
0.9836 0.6131 0.3540
0.0000 0.0000 0.0000
0.0000 0.0000 0.5000
0.4889 0.5111 0.7500
0.5111 0.4889 0.2500
```

Peak list (12 most intense, 10° ≤ 2θ ≤ 90°, in order of rising 2θ)
two_theta	intensity
22.9	12.6
27.0	13.7
30.5	32.8
30.9	31.2
31.1	100.0
31.2	32.1
32.1	10.7
34.0	22.7
35.7	18.8
40.3	10.2
48.3	9.4
55.7	10.1



# HfBeZn11
Simulated PXRD pattern, Cu Kα. Input: a PBE-relaxed structure.
Neutral-atom scattering factors, no anomalous dispersion.

Structural model:
```
HfBeZn11
1.0
2.5495 -6.1183 0.0000
2.5495 6.1183 0.0000
-2.4947 0.0000 6.0486
Hf Be Zn
1 1 11
Direct
0.0000 0.0000 0.0000
0.5000 0.5000 0.5000
0.0000 0.0000 0.5000
0.0000 0.5000 0.0000
0.0158 0.3581 0.3554
0.2983 0.5059 0.7841
0.3581 0.0158 0.3554
0.4941 0.7017 0.2159
0.5000 0.0000 0.0000
0.5059 0.2983 0.7841
0.6419 0.9842 0.6446
0.7017 0.4941 0.2159
0.9842 0.6419 0.6446
```

Peak list (12 most intense, 10° ≤ 2θ ≤ 90°, in order of rising 2θ)
two_theta	intensity
29.0	31.7
32.8	28.1
35.2	47.7
35.8	39.1
36.0	71.9
41.0	64.1
41.3	52.3
41.6	100.0
41.8	70.6
42.0	89.1
42.1	38.0
46.4	33.4